Computed powder XRD pattern
Compound: Tb3RhO6
Radiation: Cu Kα (weighted mean of Kα1 and Kα2)
Structure: a structure optimized by DFT (GGA-PBE)
No peak broadening, texture or thermal motion is included.

Cell and atoms:
```
data_Tb3RhO6
_symmetry_space_group_name_H-M 'R -3'
_symmetry_Int_Tables_number 148
_symmetry_space_group_name_Hall '-R 3'
_cell_length_a 9.6048
_cell_length_b 9.6048
_cell_length_c 10.6342
_cell_angle_alpha 90.00
_cell_angle_beta 90.00
_cell_angle_gamma 120.00
loop_
_atom_site_label
_atom_site_fract_x
_atom_site_fract_y
_atom_site_fract_z
Tb1 0.0441 0.2662 0.1968
Rh1 0.0000 0.0000 0.0000
Rh2 0.0000 0.0000 0.5000
O1 0.0293 0.1895 0.8855
O2 0.0306 0.2079 0.4027
```

Principal peaks in the range 15 to 90 degrees two-theta, sorted by position:
two_theta	d/Å	I (rel.)
25.1	3.545	42.5
27.2	3.276	14.0
29.6	3.015	100.0
31.4	2.852	29.5
33.1	2.706	67.7
42.7	2.116	17.8
44.6	2.030	39.3
48.5	1.878	11.2
50.3	1.815	31.5
55.2	1.663	12.8
57.0	1.616	18.0
61.5	1.507	13.6